No. 1
Calculated XRD peak list
Compound: AcAgRhO4
Radiation: λ = 1.5418 Å (Cu Kα)
Structure: a PBE-relaxed structure
No peak broadening, texture or thermal motion is included.

Peak list (8 most intense, 10° ≤ 2θ ≤ 90°, in order of rising 2θ)
2θ = 16.9°, I 33
2θ = 27.9°, I 100
2θ = 29.6°, I 31
2θ = 31.6°, I 40
2θ = 32.7°, I 30
2θ = 34.2°, I 27
2θ = 49.2°, I 25
2θ = 54.5°, I 37

Structure:
```
AcAgRhO4
1.0
-3.213 4.040 4.536
3.213 -4.040 4.536
3.213 4.040 -4.536
Ac Ag Rh O
2 2 2 8
Direct
0.000 0.000 0.000
0.500 0.000 0.500
0.358 0.608 0.750
0.642 0.392 0.250
0.000 0.000 0.500
0.000 0.500 0.000
0.149 0.739 0.410
0.172 0.261 0.910
0.225 0.194 0.469
0.225 0.756 0.031
0.775 0.244 0.969
0.775 0.806 0.531
0.828 0.739 0.090
0.851 0.261 0.590
```

No. 2
Calculated XRD peak list
Compound: Nd3Y4Ho5
Radiation: λ = 1.5418 Å (Cu Kα)
Structure: a PBE-relaxed structure
No peak broadening, texture or thermal motion is included.

Peak list (8 most intense, 10° ≤ 2θ ≤ 90°, in order of rising 2θ)
2θ = 30.6°, I 100
2θ = 35.5°, I 51
2θ = 51.0°, I 24
2θ = 51.1°, I 12
2θ = 60.6°, I 14
2θ = 60.7°, I 21
2θ = 63.7°, I 9
2θ = 85.9°, I 8

Structure:
```
Nd3Y4Ho5
1.0
6.197 0.000 0.000
0.022 7.156 0.000
0.017 0.000 8.764
Nd Y Ho
3 4 5
Direct
0.000 0.000 0.000
0.168 0.249 0.333
0.832 0.751 0.667
0.168 0.750 0.333
0.333 0.500 0.668
0.667 0.500 0.332
0.832 0.250 0.667
0.000 0.500 0.000
0.335 0.000 0.668
0.500 0.250 0.000
0.500 0.750 0.000
0.665 0.000 0.332
```

No. 3
Calculated XRD peak list
Compound: TeMoWSeS2
Radiation: λ = 1.5418 Å (Cu Kα)
Structure: a PBE-relaxed structure
No peak broadening, texture or thermal motion is included.

Peak list (8 most intense, 10° ≤ 2θ ≤ 90°, in order of rising 2θ)
2θ = 10.4°, I 67
2θ = 13.1°, I 66
2θ = 31.2°, I 41
2θ = 36.5°, I 100
2θ = 41.3°, I 30
2θ = 43.1°, I 26
2θ = 45.1°, I 35
2θ = 55.6°, I 32

Structure:
```
TeMoWSeS2
1.0
3.305 0.000 0.000
-1.653 2.863 0.000
0.000 0.000 33.870
Te Mo W Se S
2 2 2 2 4
Direct
0.000 0.000 0.000
0.000 0.000 0.113
0.000 0.000 0.843
0.667 0.333 0.057
0.000 0.000 0.283
0.667 0.333 0.639
0.667 0.333 0.233
0.667 0.333 0.333
0.000 0.000 0.594
0.000 0.000 0.684
0.667 0.333 0.798
0.667 0.333 0.888
```

No. 4
Calculated XRD peak list
Compound: BaCaSi2
Radiation: λ = 1.5418 Å (Cu Kα)
Structure: a PBE-relaxed structure
No peak broadening, texture or thermal motion is included.

Peak list (8 most intense, 10° ≤ 2θ ≤ 90°, in order of rising 2θ)
2θ = 14.3°, I 23
2θ = 19.9°, I 41
2θ = 23.9°, I 37
2θ = 28.6°, I 48
2θ = 28.8°, I 24
2θ = 31.6°, I 20
2θ = 33.0°, I 100
2θ = 37.7°, I 21

Structure:
```
BaCaSi2
1.0
-1.947 2.385 6.201
1.947 -2.385 6.201
1.947 2.385 -6.201
Ba Ca Si
1 1 2
Direct
0.000 0.000 0.000
0.741 0.241 0.500
0.273 0.773 0.500
0.393 0.393 0.000
```

Repeat the third record exactly.
Calculated XRD peak list
Compound: TeMoWSeS2
Radiation: λ = 1.5418 Å (Cu Kα)
Structure: a PBE-relaxed structure
No peak broadening, texture or thermal motion is included.

Peak list (8 most intense, 10° ≤ 2θ ≤ 90°, in order of rising 2θ)
2θ = 10.4°, I 67
2θ = 13.1°, I 66
2θ = 31.2°, I 41
2θ = 36.5°, I 100
2θ = 41.3°, I 30
2θ = 43.1°, I 26
2θ = 45.1°, I 35
2θ = 55.6°, I 32

Structure:
```
TeMoWSeS2
1.0
3.305 0.000 0.000
-1.653 2.863 0.000
0.000 0.000 33.870
Te Mo W Se S
2 2 2 2 4
Direct
0.000 0.000 0.000
0.000 0.000 0.113
0.000 0.000 0.843
0.667 0.333 0.057
0.000 0.000 0.283
0.667 0.333 0.639
0.667 0.333 0.233
0.667 0.333 0.333
0.000 0.000 0.594
0.000 0.000 0.684
0.667 0.333 0.798
0.667 0.333 0.888
```